Record 1
The following is a computed X-ray diffraction stick pattern of CaRe2H6CN2O10. It was derived from DFT lattice parameters and positions (GGA-PBE), using copper Kα.

The 10 most intense peaks (10 to 90 degrees two-theta), low angle first:
d 8.121, 10.89°, I = 100.0; d 6.351, 13.94°, I = 48.7; d 4.792, 18.51°, I = 74.7; d 4.658, 19.05°, I = 74.9; d 4.003, 22.21°, I = 49.7; d 3.909, 22.75°, I = 51.1; d 3.491, 25.51°, I = 48.4; d 3.410, 26.13°, I = 47.4; d 3.324, 26.82°, I = 48.6; d 3.056, 29.23°, I = 56.4

```
CaRe2H6CN2O10
1.0
7.3730 0.0000 0.0000
-2.4858 8.9483 0.0000
-0.2655 -4.0596 8.7749
Ca Re H C N O
2 4 12 2 4 20
Direct
0.0806 0.2101 0.4756
0.9194 0.7899 0.5244
0.2237 0.6877 0.8337
0.3314 0.6125 0.3675
0.6686 0.3875 0.6325
0.7763 0.3123 0.1663
0.1266 0.2839 0.9053
0.1845 0.9750 0.1777
0.3296 0.1512 0.2239
0.3438 0.2889 0.9842
0.4120 0.9925 0.6344
0.4750 0.8696 0.1807
0.5250 0.1304 0.8193
0.5880 0.0075 0.3656
0.6562 0.7111 0.0158
0.6704 0.8488 0.7761
0.8155 0.0250 0.8223
0.8734 0.7161 0.0947
0.2566 0.1358 0.7539
0.7434 0.8642 0.2461
0.2422 0.2428 0.8917
0.4171 0.0910 0.7329
0.5829 0.9090 0.2671
0.7578 0.7572 0.1083
0.1214 0.0782 0.6418
0.1230 0.4732 0.7406
0.1313 0.7801 0.7342
0.1731 0.7630 0.0213
0.2192 0.4627 0.4307
0.2278 0.0870 0.2592
0.2375 0.7794 0.4437
0.2921 0.5277 0.1694
0.4235 0.3192 0.5675
0.4727 0.7403 0.8418
0.5273 0.2597 0.1582
0.5765 0.6808 0.4325
0.7079 0.4723 0.8306
0.7625 0.2206 0.5563
0.7722 0.9130 0.7408
0.7808 0.5373 0.5693
0.8269 0.2370 0.9787
0.8687 0.2199 0.2658
0.8770 0.5268 0.2594
0.8786 0.9218 0.3582
```

Record 2
The following is a computed X-ray diffraction stick pattern of Dy2Re3Si4. It was derived from DFT lattice parameters and positions (GGA-PBE), using copper Kα.

The 10 most intense peaks (10 to 90 degrees two-theta), low angle first:
d 6.251, 14.17°, I = 100.0; d 3.108, 28.72°, I = 66.9; d 2.603, 34.45°, I = 24.8; d 2.352, 38.27°, I = 32.7; d 2.333, 38.59°, I = 59.9; d 2.271, 39.69°, I = 56.1; d 2.202, 40.98°, I = 35.5; d 2.186, 41.31°, I = 41.9; d 2.084, 43.43°, I = 22.5; d 1.554, 59.48°, I = 22.4

```
Dy2Re3Si4
1.0
0.0000 4.7042 6.2508
2.6866 0.0000 6.2508
2.6866 4.7042 0.0000
Dy Re Si
2 3 4
Direct
0.1391 0.1391 0.8609
0.8609 0.8609 0.1391
0.0000 0.0000 0.5000
0.5000 0.5000 0.0000
0.5000 0.5000 0.5000
0.1645 0.5115 0.4885
0.4885 0.8355 0.1645
0.5115 0.1645 0.8355
0.8355 0.4885 0.5115
```